[1]
Structure and computed X-ray powder pattern of AlHg5O4 (DFT lattice parameters and positions (PBE); Cu Kα (weighted mean of Kα1 and Kα2)).

Largest 8 diffraction maxima, in order of rising 2θ, 15 to 90 degrees two-theta:
hkl 0 1 1, 2θ = 20.45°, rel. 44
hkl 0 1 2, 2θ = 26.69°, rel. 100
hkl 1 0 -2, 2θ = 32.56°, rel. 65
hkl 1 1 0, 2θ = 33.39°, rel. 36
hkl 1 0 2, 2θ = 34.25°, rel. 32
hkl 0 1 -4, 2θ = 34.71°, rel. 75
hkl 1 1 -2, 2θ = 34.98°, rel. 43
hkl 1 0 -4, 2θ = 44.12°, rel. 30

```
data_AlHg5O4
_symmetry_space_group_name_H-M 'P 1'
_symmetry_Int_Tables_number 1
_cell_length_a 3.1411
_cell_length_b 5.4964
_cell_length_c 10.6758
_cell_angle_alpha 103.73
_cell_angle_beta 93.08
_cell_angle_gamma 90.24
loop_
_symmetry_equiv_pos_as_xyz
'x,y,z'
loop_
_atom_site_label
_atom_site_fract_x
_atom_site_fract_y
_atom_site_fract_z
_atom_site_occupancy
Al1 0.0000 0.0000 0.0000 1
Hg1 0.0182 0.5807 0.1536 1
Hg2 0.0362 0.6856 0.6824 1
Hg3 0.4917 0.3639 0.8069 1
Hg4 0.5032 0.8287 0.4793 1
Hg5 0.5640 0.1648 0.3298 1
O1 0.0515 0.4911 0.3279 1
O2 0.5154 0.1111 0.0788 1
O3 0.9760 0.0735 0.8456 1
O4 0.9919 0.6658 0.9778 1
```

[2]
Structure and computed X-ray powder pattern of HgH2O2 (DFT lattice parameters and positions (PBE); Cu Kα (weighted mean of Kα1 and Kα2)).

Largest 8 diffraction maxima, in order of rising 2θ, 15 to 90 degrees two-theta:
hkl 0 1 1, 2θ = 19.01°, rel. 61
hkl 1 0 1, 2θ = 20.97°, rel. 100
hkl 1 1 2, 2θ = 32.48°, rel. 85
hkl 1 2 0, 2θ = 36.43°, rel. 27
hkl 0 1 3, 2θ = 36.59°, rel. 31
hkl 1 2 1, 2θ = 38.11°, rel. 27
hkl 2 1 1, 2θ = 41.25°, rel. 21
hkl 2 1 3, 2θ = 52.46°, rel. 29

```
data_HgH2O2
_symmetry_space_group_name_H-M 'P 21 21 21'
_symmetry_Int_Tables_number 19
_cell_length_a 4.9554
_cell_length_b 5.6876
_cell_length_c 8.1695
_cell_angle_alpha 90.00
_cell_angle_beta 90.00
_cell_angle_gamma 90.00
loop_
_symmetry_equiv_pos_as_xyz
'x,y,z'
'-x+1/2,-y,z+1/2'
'x+1/2,-y+1/2,-z'
'-x,y+1/2,-z+1/2'
loop_
_atom_site_label
_atom_site_fract_x
_atom_site_fract_y
_atom_site_fract_z
_atom_site_occupancy
Hg1 0.0085 0.1864 0.1523 1
H1 0.0892 0.1173 0.7489 1
H2 0.1589 0.4179 0.6028 1
O1 0.1106 0.5896 0.6040 1
O2 0.2401 0.1521 0.6663 1
```

[3]
Structure and computed X-ray powder pattern of YFeIrPb (DFT lattice parameters and positions (PBE); Cu Kα (weighted mean of Kα1 and Kα2)).

Largest 8 diffraction maxima, in order of rising 2θ, 15 to 90 degrees two-theta:
hkl 1 1 1, 2θ = 23.13°, rel. 23
hkl 2 2 0, 2θ = 38.23°, rel. 100
hkl 3 1 1, 2θ = 45.16°, rel. 13
hkl 4 0 0, 2θ = 55.17°, rel. 17
hkl 3 3 1, 2θ = 60.61°, rel. 6
hkl 4 2 2, 2θ = 69.10°, rel. 35
hkl 4 4 0, 2θ = 81.82°, rel. 11
hkl 5 3 1, 2θ = 86.46°, rel. 5

```
data_YFeIrPb
_symmetry_space_group_name_H-M 'F -4 3 m'
_symmetry_Int_Tables_number 216
_symmetry_space_group_name_Hall 'F -4 2 3'
_cell_length_a 6.6590
_cell_length_b 6.6590
_cell_length_c 6.6590
_cell_angle_alpha 90.00
_cell_angle_beta 90.00
_cell_angle_gamma 90.00
loop_
_atom_site_label
_atom_site_fract_x
_atom_site_fract_y
_atom_site_fract_z
_atom_site_occupancy
Y1 0.0000 0.0000 0.0000 1
Fe1 0.2500 0.2500 0.7500 1
Ir1 0.2500 0.2500 0.2500 1
Pb1 0.0000 0.0000 0.5000 1
```